Record 1
This entry pairs a crystal structure of NiIrOs2 with its computed powder XRD pattern. Radiation: a wavelength of 1.5418 Å. Structure: a crystal structure in Alexandria, relaxed with PBE.
Kinematic intensities with the Lorentz-polarization factor, no thermal factor.

The 10 most intense peaks (2θ = 10–90°), in order of rising 2θ:
(hkl)  2θ/deg  d/Å  I (rel.)
0 0 3  10.22  8.654  27
1 0 4  40.83  2.210  100
0 0 12  41.75  2.163  31
0 1 8  47.78  1.904  64
1 1 0  69.24  1.357  21
1 0 16  70.53  1.335  20
0 2 4  83.62  1.156  13
1 1 12  84.23  1.150  25
0 1 20  85.45  1.136  12
2 0 8  88.48  1.105  11

Structural model:
Cell: 2.7140 2.7140 25.9611 Å, 90.00 90.00 120.00°
Space group R3m (No. 160, hexagonal axes)
Unique sites:
Ni 0.0000 0.0000 0.0000
Ir 0.0000 0.0000 0.2509
Os 0.0000 0.0000 0.4984
Os 0.0000 0.0000 0.7483



Record 2
This entry pairs a crystal structure of NiIr9Os2 with its computed powder XRD pattern. Radiation: a wavelength of 1.5418 Å. Structure: a crystal structure in Alexandria, relaxed with PBE.
Kinematic intensities with the Lorentz-polarization factor, no thermal factor.

The 10 most intense peaks (2θ = 10–90°), in order of rising 2θ:
(hkl)  2θ/deg  d/Å  I (rel.)
0 0 3  23.10  3.851  1
1 0 2  27.85  3.204  1
1 1 3  40.58  2.223  100
0 0 6  47.10  1.929  16
2 0 0  47.26  1.923  33
2 0 6  68.94  1.362  21
2 2 0  69.06  1.360  11
1 1 9  83.06  1.163  13
3 1 3  83.28  1.160  26
2 2 6  87.81  1.112  12

Structural model:
Cell: 3.8470 3.8470 11.5762 Å, 90.00 90.00 90.00°
Space group P4/mmm (No. 123)
Unique sites:
Ni 0.0000 0.0000 0.0000
Ir 0.0000 0.5000 0.1664
Ir 0.0000 0.5000 0.5000
Ir 0.5000 0.5000 0.0000
Ir 0.5000 0.5000 0.3344
Os 0.0000 0.0000 0.3271



Record 3
This entry pairs a crystal structure of Ni2Ir6Os3 with its computed powder XRD pattern. Radiation: a wavelength of 1.5418 Å. Structure: a crystal structure in Alexandria, relaxed with PBE.
Kinematic intensities with the Lorentz-polarization factor, no thermal factor.

The 10 most intense peaks (2θ = 10–90°), in order of rising 2θ:
(hkl)  2θ/deg  d/Å  I (rel.)
-2 1 1  40.74  2.215  52
0 2 1  40.91  2.206  100
1 2 -2  41.03  2.200  49
2 1 0  47.36  1.920  33
1 0 -3  47.64  1.909  33
1 -3 1  47.76  1.904  32
1 1 3  69.44  1.354  21
-3 1 4  83.85  1.154  13
3 -4 0  83.99  1.152  13
2 -4 3  84.17  1.150  19

Structural model:
Cell: 4.7053 6.0162 6.0284 Å, 107.23 104.93 97.43°
Space group P-1 (No. 2)
Unique sites:
Ni 0.2341 0.0521 0.4146
Ir 0.0454 0.4085 0.6834
Ir 0.1359 0.2281 0.0490
Ir 0.3220 0.8682 0.7681
Os 0.4138 0.6826 0.1324
Os 0.5000 0.5000 0.5000



Record 4
This entry pairs a crystal structure of VNiIrOs with its computed powder XRD pattern. Radiation: a wavelength of 1.5418 Å. Structure: a crystal structure in Alexandria, relaxed with PBE.
Kinematic intensities with the Lorentz-polarization factor, no thermal factor.

The 6 most intense peaks (2θ = 10–90°), in order of rising 2θ:
(hkl)  2θ/deg  d/Å  I (rel.)
2 0 0  29.95  2.984  36
2 2 0  42.87  2.110  100
2 2 2  53.17  1.723  11
4 0 0  62.23  1.492  16
4 2 0  70.59  1.334  14
4 2 2  78.53  1.218  33

Structural model:
Cell: 5.9671 5.9671 5.9671 Å, 90.00 90.00 90.00°
Space group F-43m (No. 216)
Unique sites:
V 0.0000 0.0000 0.0000
Ni 0.0000 0.0000 0.5000
Ir 0.2500 0.2500 0.7500
Os 0.2500 0.2500 0.2500



Record 5
This entry pairs a crystal structure of Ni2PIr with its computed powder XRD pattern. Radiation: a wavelength of 1.5418 Å. Structure: a crystal structure in Alexandria, relaxed with PBE.
Kinematic intensities with the Lorentz-polarization factor, no thermal factor.

The 10 most intense peaks (2θ = 10–90°), in order of rising 2θ:
(hkl)  2θ/deg  d/Å  I (rel.)
0 0 1  22.09  4.025  45
2 0 0  22.89  3.884  54
2 0 -1  24.14  3.687  27
1 1 0  33.48  2.676  56
1 1 -1  37.53  2.396  52
2 0 1  38.45  2.341  38
2 0 -2  40.79  2.212  56
4 0 -1  42.19  2.142  41
1 1 1  43.26  2.092  100
3 1 -1  45.56  1.991  85

Structural model:
Cell: 8.5846 2.8507 4.4472 Å, 90.00 115.18 90.00°
Space group Cm (No. 8)
Unique sites:
Ni 0.0000 0.0000 0.0000
Ni 0.2201 0.0000 0.7774
P 0.1882 0.5000 0.3668
Ir 0.4195 0.0000 0.4348



Record 6
This entry pairs a crystal structure of SiNiPIr with its computed powder XRD pattern. Radiation: a wavelength of 1.5418 Å. Structure: a crystal structure in Alexandria, relaxed with PBE.
Kinematic intensities with the Lorentz-polarization factor, no thermal factor.

The 10 most intense peaks (2θ = 10–90°), in order of rising 2θ:
(hkl)  2θ/deg  d/Å  I (rel.)
0 0 2  14.23  6.223  58
0 0 4  28.69  3.112  41
1 0 1  31.14  2.872  100
1 0 3  37.39  2.405  40
1 1 0  43.35  2.087  55
1 0 5  47.80  1.903  77
1 1 4  52.82  1.733  30
2 0 0  62.98  1.476  18
2 1 1  71.93  1.313  18
2 1 5  82.76  1.166  31

Structural model:
Cell: 2.9516 2.9516 12.4463 Å, 90.00 90.00 90.00°
Space group I4mm (No. 107)
Unique sites:
Si 0.0000 0.0000 0.0000
Ni 0.0000 0.0000 0.6218
P 0.0000 0.0000 0.2093
Ir 0.0000 0.0000 0.4005



Record 7
This entry pairs a crystal structure of Tb2Ni3P4Ir with its computed powder XRD pattern. Radiation: a wavelength of 1.5418 Å. Structure: a crystal structure in Alexandria, relaxed with PBE.
Kinematic intensities with the Lorentz-polarization factor, no thermal factor.

The 10 most intense peaks (2θ = 10–90°), in order of rising 2θ:
(hkl)  2θ/deg  d/Å  I (rel.)
1 0 1  24.14  3.687  36
1 1 1  32.95  2.718  26
1 0 3  36.79  2.443  57
1 1 2  37.14  2.421  100
2 0 0  45.08  2.011  50
1 0 5  54.74  1.677  19
2 1 3  59.54  1.553  28
2 2 0  65.65  1.422  16
1 1 6  69.49  1.353  16
3 1 2  77.91  1.226  23

Structural model:
Cell: 4.0224 4.0224 9.2256 Å, 90.00 90.00 90.00°
Space group P-4m2 (No. 115)
Unique sites:
Tb 0.0000 0.5000 0.2402
Ni 0.0000 0.5000 0.8842
Ni 0.5000 0.5000 0.5000
P 0.0000 0.0000 0.0000
P 0.0000 0.5000 0.6387
P 0.5000 0.5000 0.0000
Ir 0.0000 0.0000 0.5000



Record 8
This entry pairs a crystal structure of NiTePIr with its computed powder XRD pattern. Radiation: a wavelength of 1.5418 Å. Structure: a crystal structure in Alexandria, relaxed with PBE.
Kinematic intensities with the Lorentz-polarization factor, no thermal factor.

The 10 most intense peaks (2θ = 10–90°), in order of rising 2θ:
(hkl)  2θ/deg  d/Å  I (rel.)
2 0 -1  24.64  3.613  59
2 0 0  27.30  3.267  40
0 0 2  27.40  3.255  47
1 1 0  32.11  2.788  100
1 1 -1  32.52  2.753  36
2 0 -3  38.62  2.331  39
1 1 2  46.64  1.947  36
2 0 2  47.17  1.927  24
3 1 -1  48.02  1.894  40
1 1 -3  48.15  1.890  50

Structural model:
Cell: 7.2475 3.0821 7.2211 Å, 90.00 115.63 90.00°
Space group Cm (No. 8)
Unique sites:
Ni 0.0000 0.0000 0.0000
Te 0.1910 0.0000 0.7815
P 0.1809 0.5000 0.2373
Ir 0.0328 0.0000 0.3758



Record 9
This entry pairs a crystal structure of NiTePIr with its computed powder XRD pattern. Radiation: a wavelength of 1.5418 Å. Structure: a crystal structure in Alexandria, relaxed with PBE.
Kinematic intensities with the Lorentz-polarization factor, no thermal factor.

The 10 most intense peaks (2θ = 10–90°), in order of rising 2θ:
(hkl)  2θ/deg  d/Å  I (rel.)
0 0 1  15.86  5.589  51
1 0 0  26.79  3.328  39
1 0 1  31.28  2.859  100
1 0 2  42.23  2.140  95
1 1 0  47.31  1.921  56
1 1 1  50.21  1.817  16
0 1 3  56.62  1.626  16
0 2 1  57.81  1.595  18
0 2 2  65.26  1.430  26
2 1 2  84.46  1.147  26

Structural model:
Cell: 3.8429 3.8429 5.5888 Å, 90.00 90.00 120.00°
Space group P3m1 (No. 156)
Unique sites:
Ni 0.0000 0.0000 0.0000
Te 0.0000 0.0000 0.5572
P 0.6667 0.3333 0.0814
Ir 0.3333 0.6667 0.2842



Record 10
This entry pairs a crystal structure of Pa2Ni3Ir3 with its computed powder XRD pattern. Radiation: a wavelength of 1.5418 Å. Structure: a crystal structure in Alexandria, relaxed with PBE.
Kinematic intensities with the Lorentz-polarization factor, no thermal factor.

The 10 most intense peaks (2θ = 10–90°), in order of rising 2θ:
(hkl)  2θ/deg  d/Å  I (rel.)
1 0 0  22.13  4.017  17
0 1 2  31.79  2.815  14
1 1 2  39.07  2.305  100
2 0 0  45.14  2.009  33
0 0 4  46.02  1.972  16
2 2 0  65.74  1.420  11
2 0 4  66.43  1.407  21
3 1 2  79.21  1.209  26
1 1 6  80.49  1.193  13
2 2 4  83.96  1.153  11

Structural model:
Cell: 4.0173 4.0176 7.8893 Å, 90.00 90.00 90.00°
Space group Pmmm (No. 47)
Unique sites:
Pa 0.0000 0.0000 0.2482
Ni 0.5000 0.0000 0.0000
Ni 0.5000 0.5000 0.2460
Ir 0.0000 0.5000 0.0000
Ir 0.0000 0.5000 0.5000
Ir 0.5000 0.0000 0.5000



Record 11
This entry pairs a crystal structure of Pa3NiIr2 with its computed powder XRD pattern. Radiation: a wavelength of 1.5418 Å. Structure: a crystal structure in Alexandria, relaxed with PBE.
Kinematic intensities with the Lorentz-polarization factor, no thermal factor.

The 10 most intense peaks (2θ = 10–90°), in order of rising 2θ:
(hkl)  2θ/deg  d/Å  I (rel.)
0 2 1  32.61  2.746  66
3 1 -2  33.39  2.684  31
2 0 2  34.32  2.613  100
4 0 -2  34.41  2.607  73
2 2 1  37.63  2.390  60
1 1 -3  41.95  2.154  20
4 2 -1  42.20  2.141  36
6 0 0  45.85  1.979  41
2 2 -3  49.82  1.830  19
6 2 -1  53.92  1.700  21

Structural model:
Cell: 12.3610 6.0253 6.9488 Å, 90.00 106.12 90.00°
Space group C2/c (No. 15)
Unique sites:
Pa 0.0000 0.1274 0.2500
Pa 0.1661 0.3985 0.6165
Ni 0.0000 0.3639 0.7500
Ir 0.1606 0.1082 0.0240



Record 12
This entry pairs a crystal structure of Pa2Ni9Ir with its computed powder XRD pattern. Radiation: a wavelength of 1.5418 Å. Structure: a crystal structure in Alexandria, relaxed with PBE.
Kinematic intensities with the Lorentz-polarization factor, no thermal factor.

The 10 most intense peaks (2θ = 10–90°), in order of rising 2θ:
(hkl)  2θ/deg  d/Å  I (rel.)
1 0 1  21.20  4.190  54
1 0 7  33.89  2.645  56
1 1 0  36.55  2.458  100
0 1 8  37.04  2.427  98
0 2 1  42.64  2.120  67
1 1 6  43.39  2.085  62
2 0 5  46.80  1.941  36
1 1 9  50.88  1.795  54
1 2 8  66.12  1.413  35
2 2 0  77.69  1.229  32

Structural model:
Cell: 4.9166 4.9166 23.6317 Å, 90.00 90.00 120.00°
Space group R-3m (No. 166, hexagonal axes)
Unique sites:
Pa 0.0000 0.0000 0.1243
Ni 0.0000 0.0000 0.3334
Ni 0.0000 0.0000 0.5000
Ni 0.0033 0.5017 0.9168
Ir 0.0000 0.0000 0.0000



Record 13
This entry pairs a crystal structure of Pa2Ni9Ir with its computed powder XRD pattern. Radiation: a wavelength of 1.5418 Å. Structure: a crystal structure in Alexandria, relaxed with PBE.
Kinematic intensities with the Lorentz-polarization factor, no thermal factor.

The 10 most intense peaks (2θ = 10–90°), in order of rising 2θ:
(hkl)  2θ/deg  d/Å  I (rel.)
1 1 0  21.25  4.182  67
0 2 0  25.55  3.487  22
1 1 3  36.67  2.451  29
0 2 3  39.44  2.285  100
2 2 0  43.27  2.091  84
2 0 3  45.90  1.977  65
0 4 0  52.49  1.743  24
2 4 3  72.24  1.308  34
2 2 6  77.97  1.225  19
4 2 3  85.64  1.134  21

Structural model:
Cell: 5.2260 6.9739 9.0731 Å, 90.00 90.00 90.00°
Space group Cmmm (No. 65)
Unique sites:
Pa 0.0000 0.0000 0.1887
Ni 0.0000 0.5000 0.1651
Ni 0.0000 0.5000 0.5000
Ni 0.2500 0.2500 0.0000
Ni 0.2500 0.2500 0.3527
Ir 0.0000 0.0000 0.5000



Record 14
This entry pairs a crystal structure of PaNi5Ir with its computed powder XRD pattern. Radiation: a wavelength of 1.5418 Å. Structure: a crystal structure in Alexandria, relaxed with PBE.
Kinematic intensities with the Lorentz-polarization factor, no thermal factor.

The 10 most intense peaks (2θ = 10–90°), in order of rising 2θ:
(hkl)  2θ/deg  d/Å  I (rel.)
0 1 3  32.47  2.757  42
1 1 3  34.52  2.598  43
0 2 0  37.28  2.412  50
1 0 4  37.52  2.397  62
2 1 3  40.10  2.249  79
3 1 1  40.50  2.228  100
2 2 1  45.14  2.009  33
2 1 4  46.91  1.937  43
1 2 3  47.87  1.900  35
1 1 7  69.16  1.358  46

Structural model:
Cell: 7.7793 4.8242 10.0798 Å, 90.00 90.00 90.00°
Space group Pnma (No. 62)
Unique sites:
Pa 0.2367 0.2500 0.0610
Ni 0.0602 0.7500 0.1017
Ni 0.0706 0.0039 0.3154
Ni 0.1057 0.2500 0.5212
Ni 0.1813 0.2500 0.7527
Ir 0.1322 0.7500 0.8557